Diffraction record for CeMg5. The powder X-ray diffraction pattern is calculated, not measured: it uses a cell relaxed with PBE and Cu Ka.

Structural model:
abc: 5.798 5.798 5.352
angles: 90.00 90.00 120.00
Fractional positions:
1 Ce 0.000 0.000 0.000
2 Mg 0.000 0.648 0.500
3 Mg 0.333 0.667 0.000
4 Mg 0.352 0.352 0.500
5 Mg 0.648 0.000 0.500
6 Mg 0.667 0.333 0.000

Most intense lines, 5° ≤ 2θ ≤ 70°, low angle first:
(hkl)	d [Å]	I/Imax
0 0 1	5.352	23.9
1 0 0	5.022	56.2
1 0 1	3.662	64.3
1 1 0	2.899	34.8
0 0 2	2.676	24.2
1 1 1	2.549	100.0
1 1 2	1.966	22.5
3 0 0	1.674	16.8
1 1 3	1.519	19.7
3 0 2	1.419	19.1



Diffraction record for Ce2Mg. The powder X-ray diffraction pattern is calculated, not measured: it uses a cell relaxed with PBE and Cu Ka.

Structural model:
abc: 5.726 3.237 17.213
angles: 90.00 90.00 90.00
Fractional positions:
1 Ce 0.000 0.000 0.000
2 Ce 0.000 0.000 0.321
3 Ce 0.000 0.000 0.658
4 Ce 0.000 0.500 0.158
5 Ce 0.000 0.500 0.500
6 Ce 0.000 0.500 0.821
7 Ce 0.500 0.000 0.871
8 Ce 0.500 0.500 0.371
9 Mg 0.500 0.000 0.204
10 Mg 0.500 0.000 0.550
11 Mg 0.500 0.500 0.050
12 Mg 0.500 0.500 0.704

Most intense lines, 5° ≤ 2θ ≤ 70°, low angle first:
(hkl)	d [Å]	I/Imax
1 0 0	5.726	31.3
2 0 0	2.865	62.0
0 1 3	2.819	23.6
1 0 6	2.565	39.1
1 1 3	2.529	100.0
2 0 6	2.026	14.7
2 1 3	2.009	17.8
0 1 9	1.647	16.1
3 1 3	1.581	28.5
2 1 9	1.427	18.1



Diffraction record for CeMg. The powder X-ray diffraction pattern is calculated, not measured: it uses a cell relaxed with PBE and Cu Ka.

Structural model:
abc: 5.201 3.162 6.157
angles: 90.00 90.00 90.00
Fractional positions:
1 Ce 0.250 0.000 0.115
2 Ce 0.750 0.000 0.885
3 Mg 0.250 0.500 0.632
4 Mg 0.750 0.500 0.368

Most intense lines, 5° ≤ 2θ ≤ 70°, low angle first:
(hkl)	d [Å]	I/Imax
0 0 1	6.157	100.0
1 0 1	3.973	51.3
0 1 0	3.162	35.0
0 1 1	2.813	59.6
1 0 2	2.649	91.1
2 0 0	2.600	43.9
1 1 1	2.474	68.9
1 1 2	2.031	39.8
2 1 1	1.909	51.4
1 1 3	1.634	27.0



Diffraction record for CeMg. The powder X-ray diffraction pattern is calculated, not measured: it uses a cell relaxed with PBE and Cu Ka.

Structural model:
abc: 6.415 6.415 6.415
angles: 90.00 90.00 90.00
Fractional positions:
1 Ce 0.000 0.000 0.000
2 Ce 0.000 0.500 0.500
3 Ce 0.500 0.000 0.500
4 Ce 0.500 0.500 0.000
5 Mg 0.000 0.000 0.500
6 Mg 0.000 0.500 0.000
7 Mg 0.500 0.000 0.000
8 Mg 0.500 0.500 0.500

Most intense lines, 5° ≤ 2θ ≤ 70°, low angle first:
(hkl)	d [Å]	I/Imax
1 1 1	3.704	89.8
2 0 0	3.207	100.0
2 2 0	2.268	76.4
3 1 1	1.934	45.1
2 2 2	1.852	27.4
4 0 0	1.604	12.9
3 3 1	1.472	18.7
4 2 0	1.434	35.2



Diffraction record for Ce2Mg. The powder X-ray diffraction pattern is calculated, not measured: it uses a cell relaxed with PBE and Cu Ka.

Structural model:
abc: 3.114 18.933 5.175
angles: 90.00 90.00 90.00
Fractional positions:
1 Ce 0.000 0.071 0.250
2 Ce 0.000 0.397 0.250
3 Ce 0.000 0.603 0.750
4 Ce 0.000 0.929 0.750
5 Ce 0.500 0.103 0.750
6 Ce 0.500 0.429 0.750
7 Ce 0.500 0.571 0.250
8 Ce 0.500 0.897 0.250
9 Mg 0.000 0.271 0.750
10 Mg 0.000 0.729 0.250
11 Mg 0.500 0.229 0.250
12 Mg 0.500 0.771 0.750

Most intense lines, 5° ≤ 2θ ≤ 70°, low angle first:
(hkl)	d [Å]	I/Imax
0 2 0	9.466	71.8
0 4 0	4.733	25.1
0 6 0	3.155	35.1
0 6 1	2.694	24.7
1 1 1	2.642	20.7
0 0 2	2.588	32.2
1 3 1	2.457	100.0
0 6 2	2.001	19.3
1 3 3	1.468	19.9
1 9 2	1.446	13.4



Diffraction record for Ce3Mg. The powder X-ray diffraction pattern is calculated, not measured: it uses a cell relaxed with PBE and Cu Ka.

Structural model:
abc: 7.519 7.519 7.519
angles: 90.00 90.00 90.00
Fractional positions:
1 Ce 0.000 0.000 0.000
2 Ce 0.000 0.500 0.500
3 Ce 0.250 0.250 0.250
4 Ce 0.250 0.250 0.750
5 Ce 0.250 0.750 0.250
6 Ce 0.250 0.750 0.750
7 Ce 0.500 0.000 0.500
8 Ce 0.500 0.500 0.000
9 Ce 0.750 0.250 0.250
10 Ce 0.750 0.250 0.750
11 Ce 0.750 0.750 0.250
12 Ce 0.750 0.750 0.750
13 Mg 0.000 0.000 0.500
14 Mg 0.000 0.500 0.000
15 Mg 0.500 0.000 0.000
16 Mg 0.500 0.500 0.500

Most intense lines, 5° ≤ 2θ ≤ 70°, low angle first:
(hkl)	d [Å]	I/Imax
1 1 1	4.341	15.2
2 0 0	3.760	8.0
2 2 0	2.659	100.0
3 1 1	2.267	8.3
2 2 2	2.171	2.4
4 0 0	1.880	18.0
3 3 1	1.725	3.6
4 2 0	1.681	3.3
4 2 2	1.535	37.1
5 1 1	1.447	2.7



Diffraction record for Ce3Mg. The powder X-ray diffraction pattern is calculated, not measured: it uses a cell relaxed with PBE and Cu Ka.

Structural model:
abc: 4.752 4.752 9.722
angles: 90.00 90.00 90.00
Fractional positions:
1 Ce 0.000 0.000 0.000
2 Ce 0.000 0.500 0.250
3 Ce 0.000 0.500 0.750
4 Ce 0.500 0.000 0.250
5 Ce 0.500 0.000 0.750
6 Ce 0.500 0.500 0.500
7 Mg 0.000 0.000 0.500
8 Mg 0.500 0.500 0.000

Most intense lines, 5° ≤ 2θ ≤ 70°, low angle first:
(hkl)	d [Å]	I/Imax
0 0 2	4.861	6.6
1 0 1	4.269	19.6
1 1 2	2.764	100.0
0 0 4	2.431	17.4
2 0 0	2.376	32.7
2 0 4	1.699	23.4
2 2 0	1.680	11.3
1 1 6	1.460	14.1
3 1 2	1.436	28.3
2 2 4	1.382	11.7



Diffraction record for CeMg. The powder X-ray diffraction pattern is calculated, not measured: it uses a cell relaxed with PBE and Cu Ka.

Structural model:
abc: 3.150 3.150 11.609
angles: 90.00 90.00 120.00
Fractional positions:
1 Ce 0.333 0.667 0.134
2 Ce 0.667 0.333 0.866
3 Mg 0.333 0.667 0.614
4 Mg 0.667 0.333 0.386

Most intense lines, 5° ≤ 2θ ≤ 70°, low angle first:
(hkl)	d [Å]	I/Imax
0 0 1	11.609	100.0
0 0 3	3.870	17.0
0 0 4	2.902	21.1
1 0 0	2.728	14.2
1 0 1	2.656	27.0
0 1 2	2.469	63.4
0 1 3	2.230	11.9
1 0 4	1.988	11.4
0 1 6	1.578	14.4
1 1 4	1.384	12.9